(1)
# CaLa2Mn3O9
Simulated powder diffraction line list, copper Kα. Input: DFT lattice parameters and positions (GGA+U).
Lines closer than 0.1° are merged.

Structural model:
```
data_CaLa2Mn3O9
_cell_length_a 16.6294
_cell_length_b 7.7405
_cell_length_c 5.5561
_cell_angle_alpha 90.00
_cell_angle_beta 90.00
_cell_angle_gamma 90.00
_space_group_name_H-M_alt 'P n m a'
_space_group_IT_number 62
loop_
_space_group_symop_operation_xyz
'x,y,z'
'-x,-y,-z'
'-x+1/2,-y,z+1/2'
'x+1/2,y,-z+1/2'
'x+1/2,-y+1/2,-z+1/2'
'-x+1/2,y+1/2,z+1/2'
'-x,y+1/2,-z'
'x,-y+1/2,z'
loop_
_atom_site_label
_atom_site_type_symbol
_atom_site_fract_x
_atom_site_fract_y
_atom_site_fract_z
_atom_site_occupancy
Ca1 Ca 0.1574 0.2500 0.0073 1
La1 La 0.0059 0.7500 0.5032 1
La2 La 0.1762 0.7500 0.9933 1
Mn1 Mn 0.0000 0.0000 0.0000 1
Mn2 Mn 0.1675 0.0009 0.4995 1
O1 O 0.0028 0.2500 0.9332 1
O2 O 0.0736 0.0333 0.2783 1
O3 O 0.0918 0.5390 0.7719 1
O4 O 0.1605 0.7500 0.4293 1
O5 O 0.1707 0.2500 0.5780 1
O6 O 0.2394 0.0406 0.2194 1
```

Peak list (10 most intense, 15 to 90 degrees two-theta, sorted by position)
- 2θ 20.39, I = 11, hkl 1 1 1
- 2θ 32.26, I = 49, hkl 6 0 0
- 2θ 32.49, I = 100, hkl 3 2 1
- 2θ 39.98, I = 20, hkl 6 2 0
- 2θ 46.27, I = 32, hkl 6 0 2
- 2θ 46.95, I = 16, hkl 0 4 0
- 2θ 57.63, I = 22, hkl 3 2 3
- 2θ 57.73, I = 17, hkl 9 2 1
- 2θ 58.12, I = 21, hkl 6 4 0
- 2θ 68.05, I = 16, hkl 6 4 2

=====

(2)
# Ca3LaMn4O12
Simulated powder diffraction line list, copper Kα. Input: DFT lattice parameters and positions (GGA+U).
Lines closer than 0.1° are merged.

Structural model:
```
data_Ca3LaMn4O12
_cell_length_a 5.4148
_cell_length_b 5.4263
_cell_length_c 7.6697
_cell_angle_alpha 90.33
_cell_angle_beta 90.03
_cell_angle_gamma 91.24
_space_group_name_H-M_alt 'P 1'
_space_group_IT_number 1
loop_
_space_group_symop_operation_xyz
'x,y,z'
loop_
_atom_site_label
_atom_site_type_symbol
_atom_site_fract_x
_atom_site_fract_y
_atom_site_fract_z
_atom_site_occupancy
Ca1 Ca 0.0000 0.0000 0.0000 1
Ca2 Ca 0.0242 0.0733 0.4939 1
Ca3 Ca 0.5188 0.4961 0.9992 1
La1 La 0.5114 0.5638 0.4935 1
Mn1 Mn 0.0128 0.5365 0.2411 1
Mn2 Mn 0.0141 0.5363 0.7515 1
Mn3 Mn 0.5120 0.0356 0.2420 1
Mn4 Mn 0.5132 0.0355 0.7517 1
O1 O 0.0920 0.5637 0.9871 1
O2 O 0.2269 0.8212 0.2887 1
O3 O 0.2302 0.8197 0.7000 1
O4 O 0.2955 0.3166 0.7110 1
O5 O 0.3086 0.3081 0.2821 1
O6 O 0.4296 0.0539 0.9957 1
O7 O 0.5917 0.0296 0.4993 1
O8 O 0.7084 0.7586 0.2087 1
O9 O 0.7223 0.7496 0.7863 1
O10 O 0.7958 0.2531 0.7934 1
O11 O 0.7968 0.2517 0.2063 1
O12 O 0.9504 0.5149 0.5060 1
```

Peak list (10 most intense, 15 to 90 degrees two-theta, sorted by position)
- 2θ 16.36, I = 28, hkl 1 0 0
- 2θ 20.05, I = 26, hkl 1 0 1
- 2θ 32.80, I = 51, hkl 1 -1 2
- 2θ 32.97, I = 100, hkl -1 1 2
- 2θ 33.13, I = 99, hkl 1 1 -2
- 2θ 33.31, I = 50, hkl 1 1 2
- 2θ 46.90, I = 38, hkl 2 -2 0
- 2θ 47.42, I = 37, hkl 0 0 4
- 2θ 48.00, I = 34, hkl 2 2 0
- 2θ 58.74, I = 32, hkl -3 1 2

=====

(3)
# CaLa2Mn3O9
Simulated powder diffraction line list, copper Kα. Input: DFT lattice parameters and positions (GGA+U).
Lines closer than 0.1° are merged.

Structural model:
```
data_CaLa2Mn3O9
_cell_length_a 13.5392
_cell_length_b 5.5616
_cell_length_c 9.5607
_cell_angle_alpha 90.00
_cell_angle_beta 90.10
_cell_angle_gamma 90.00
_space_group_name_H-M_alt 'P 1 21/c 1'
_space_group_IT_number 14
loop_
_space_group_symop_operation_xyz
'x,y,z'
'-x,-y,-z'
'-x,y+1/2,-z+1/2'
'x,-y+1/2,z+1/2'
loop_
_atom_site_label
_atom_site_type_symbol
_atom_site_fract_x
_atom_site_fract_y
_atom_site_fract_z
_atom_site_occupancy
Ca1 Ca 0.2504 0.0365 0.0010 1
La1 La 0.0860 0.5270 0.1682 1
La2 La 0.4106 0.5361 0.8361 1
Mn1 Mn 0.0000 0.0000 0.0000 1
Mn2 Mn 0.1676 0.5013 0.8321 1
Mn3 Mn 0.3335 0.0026 0.6664 1
Mn4 Mn 0.5000 0.0000 0.0000 1
O1 O 0.0581 0.7141 0.9053 1
O2 O 0.0822 0.2180 0.8819 1
O3 O 0.1055 0.5200 0.6437 1
O4 O 0.2305 0.0210 0.5190 1
O5 O 0.2493 0.7058 0.2886 1
O6 O 0.2717 0.2096 0.2543 1
O7 O 0.3907 0.7062 0.5706 1
O8 O 0.4226 0.2064 0.5495 1
O9 O 0.4408 0.5081 0.3095 1
```

Peak list (10 most intense, 15 to 90 degrees two-theta, sorted by position)
- 2θ 22.70, I = 14, hkl 2 0 -2
- 2θ 32.19, I = 20, hkl 0 2 0
- 2θ 32.37, I = 100, hkl 4 0 -2
- 2θ 39.80, I = 9, hkl 2 2 2
- 2θ 46.31, I = 25, hkl 4 2 -2
- 2θ 46.55, I = 14, hkl 4 0 4
- 2θ 57.51, I = 13, hkl 0 3 3
- 2θ 57.73, I = 17, hkl 8 1 -1
- 2θ 57.79, I = 14, hkl 4 1 -5
- 2θ 67.78, I = 10, hkl 0 2 6

=====

(4)
# CaLa2Mn3O9
Simulated powder diffraction line list, copper Kα. Input: DFT lattice parameters and positions (GGA+U).
Lines closer than 0.1° are merged.

Structural model:
```
data_CaLa2Mn3O9
_cell_length_a 5.5621
_cell_length_b 5.5621
_cell_length_c 13.3798
_cell_angle_alpha 90.00
_cell_angle_beta 90.00
_cell_angle_gamma 120.00
_space_group_name_H-M_alt 'P -3 c 1'
_space_group_IT_number 165
_space_group_name_Hall '-P 3 2"c'
loop_
_atom_site_label
_atom_site_type_symbol
_atom_site_fract_x
_atom_site_fract_y
_atom_site_fract_z
_atom_site_occupancy
Ca1 Ca 0.0000 0.0000 0.2500 1
La1 La 0.3333 0.6667 0.0856 1
Mn1 Mn 0.0000 0.0000 0.0000 1
Mn2 Mn 0.3333 0.6667 0.3321 1
O1 O 0.0000 0.4316 0.2500 1
O2 O 0.1054 0.3362 0.9185 1
```

Peak list (10 most intense, 15 to 90 degrees two-theta, sorted by position)
- 2θ 18.42, I = 18, hkl 1 0 0
- 2θ 22.75, I = 25, hkl 0 1 2
- 2θ 32.19, I = 93, hkl 1 1 0
- 2θ 32.59, I = 100, hkl 0 1 4
- 2θ 39.78, I = 23, hkl 0 2 2
- 2θ 46.46, I = 64, hkl 2 0 4
- 2θ 57.39, I = 23, hkl 3 0 0
- 2θ 57.64, I = 40, hkl 1 2 4
- 2θ 58.41, I = 19, hkl 1 0 8
- 2θ 68.28, I = 18, hkl 0 2 8

=====

(5)
# CaLaPrMnO6
Simulated powder diffraction line list, copper Kα. Input: DFT lattice parameters and positions (GGA+U).
Lines closer than 0.1° are merged.

Structural model:
```
data_CaLaPrMnO6
_cell_length_a 8.0607
_cell_length_b 8.0607
_cell_length_c 8.0607
_cell_angle_alpha 90.00
_cell_angle_beta 90.00
_cell_angle_gamma 90.00
_space_group_name_H-M_alt 'F -4 3 m'
_space_group_IT_number 216
_space_group_name_Hall 'F -4 2 3'
loop_
_atom_site_label
_atom_site_type_symbol
_atom_site_fract_x
_atom_site_fract_y
_atom_site_fract_z
_atom_site_occupancy
Ca1 Ca 0.0000 0.0000 0.0000 1
La1 La 0.2500 0.2500 0.2500 1
Pr1 Pr 0.2500 0.2500 0.7500 1
Mn1 Mn 0.0000 0.0000 0.5000 1
O1 O 0.0000 0.0000 0.2668 1
```

Peak list (10 most intense, 15 to 90 degrees two-theta, sorted by position)
- 2θ 22.05, I = 20, hkl 2 0 0
- 2θ 31.39, I = 100, hkl 2 2 0
- 2θ 38.70, I = 24, hkl 2 2 2
- 2θ 44.98, I = 33, hkl 4 0 0
- 2θ 50.64, I = 11, hkl 4 2 0
- 2θ 55.88, I = 38, hkl 4 2 2
- 2θ 65.51, I = 20, hkl 4 4 0
- 2θ 74.44, I = 17, hkl 6 2 0
- 2θ 78.75, I = 8, hkl 6 2 2
- 2θ 83.00, I = 6, hkl 4 4 4

=====

(6)
# CaLaMnRuO6
Simulated powder diffraction line list, copper Kα. Input: DFT lattice parameters and positions (GGA+U).
Lines closer than 0.1° are merged.

Structural model:
```
data_CaLaMnRuO6
_cell_length_a 5.5590
_cell_length_b 5.7162
_cell_length_c 9.6635
_cell_angle_alpha 90.00
_cell_angle_beta 124.94
_cell_angle_gamma 90.00
_space_group_name_H-M_alt 'P 1 c 1'
_space_group_IT_number 7
loop_
_space_group_symop_operation_xyz
'x,y,z'
'x,-y,z+1/2'
loop_
_atom_site_label
_atom_site_type_symbol
_atom_site_fract_x
_atom_site_fract_y
_atom_site_fract_z
_atom_site_occupancy
Ca1 Ca 0.0000 0.1943 0.0000 1
La1 La 0.5264 0.2968 0.4996 1
Mn1 Mn 0.2666 0.2484 0.7509 1
Ru1 Ru 0.7651 0.2492 0.2496 1
O1 O 0.0037 0.4441 0.1995 1
O2 O 0.0999 0.2166 0.4907 1
O3 O 0.4245 0.2805 0.0108 1
O4 O 0.5325 0.0486 0.3005 1
O5 O 0.6294 0.4632 0.8045 1
O6 O 0.9091 0.0353 0.6975 1
```

Peak list (10 most intense, 15 to 90 degrees two-theta, sorted by position)
- 2θ 19.15, I = 21, hkl 0 1 1
- 2θ 19.50, I = 22, hkl 1 0 0
- 2θ 31.30, I = 23, hkl 0 2 0
- 2θ 31.85, I = 100, hkl 1 1 -3
- 2θ 32.21, I = 23, hkl 2 0 -2
- 2θ 37.73, I = 15, hkl 2 1 -3
- 2θ 45.52, I = 26, hkl 2 2 -2
- 2θ 45.82, I = 15, hkl 0 0 4
- 2θ 56.06, I = 14, hkl 1 3 -3
- 2θ 57.15, I = 17, hkl 3 1 -1